Simulated XRD peak list of LaAgMoO5 for λ = 1.5418 Å (Cu Kα), from a DFT-relaxed cell (PBE+U, Alexandria).
Lines closer than 0.1° are merged.

Most intense lines, 5 to 70 degrees two-theta, in order of rising 2θ:
- 2θ = 22.29°, I 100, (2 0 0)
- 2θ = 22.47°, I 88, (1 1 -2)
- 2θ = 30.16°, I 46, (0 2 2)
- 2θ = 30.79°, I 54, (1 3 0)
- 2θ = 31.79°, I 22, (3 1 -2)
- 2θ = 31.93°, I 22, (1 1 2)
- 2θ = 41.35°, I 19, (2 0 -4)
- 2θ = 44.80°, I 24, (3 3 0)
- 2θ = 45.46°, I 33, (4 0 0)
- 2θ = 52.43°, I 22, (1 3 -4)

Cell and atoms:
a b c (Å): 9.1110 9.3545 8.7335
angles (deg): 90.00 118.91 90.00
Space group C2/c (No. 15)
Inequivalent atoms, fractional coordinates:
La 0.0000 0.0000 0.0000 [4 per cell]
Ag 0.0000 0.3012 0.2500 [4 per cell]
Mo 0.0000 0.3702 0.7500 [4 per cell]
O 0.0000 0.0739 0.2500 [4 per cell]
O 0.0008 0.2580 0.5845 [8 per cell]
O 0.1848 0.4829 0.8444 [8 per cell]